Record 1
Computed powder XRD pattern of Li4NbO4 for Cu Kα, 1.54184 Å, from a DFT-relaxed cell (GGA-PBE, the Materials Project).
Intensities are scaled so that the largest is 100.

Top 6 peaks for 2θ from 15° to 90°, sorted by position:
two_theta  intensity
16.34  46.6
20.95  43.6
21.28  100.0
28.75  53.5
31.96  39.2
36.91  28.6

```
data_Li4NbO4
_cell_length_a 5.516
_cell_length_b 5.516
_cell_length_c 6.540
_cell_angle_alpha 90.00
_cell_angle_beta 90.00
_cell_angle_gamma 79.54
_space_group_name_H-M_alt 'P 1'
_space_group_IT_number 1
loop_
_space_group_symop_operation_xyz
'x,y,z'
loop_
_atom_site_label
_atom_site_fract_x
_atom_site_fract_y
_atom_site_fract_z
Li1 0.080 0.636 0.750
Li2 0.344 0.344 0.000
Li3 0.344 0.344 0.500
Li4 0.364 0.920 0.750
Li5 0.636 0.080 0.250
Li6 0.656 0.656 0.000
Li7 0.656 0.656 0.500
Li8 0.920 0.364 0.250
Nb1 0.152 0.848 0.250
Nb2 0.848 0.152 0.750
O1 0.166 0.266 0.750
O2 0.266 0.166 0.250
O3 0.281 0.719 0.511
O4 0.281 0.719 0.989
O5 0.719 0.281 0.011
O6 0.719 0.281 0.489
O7 0.734 0.834 0.750
O8 0.834 0.734 0.250
```

=====

Record 2
Computed powder XRD pattern of Li3NbO4 for Cu Kα, 1.54184 Å, from a DFT-relaxed cell (GGA-PBE, the Materials Project).
Intensities are scaled so that the largest is 100.

Top 6 peaks for 2θ from 15° to 90°, sorted by position:
two_theta  intensity
20.65  32.4
23.73  100.0
30.34  23.5
43.44  31.6
50.09  24.7
62.02  18.0

```
data_Li3NbO4
_cell_length_a 4.167
_cell_length_b 4.167
_cell_length_c 8.603
_cell_angle_alpha 90.00
_cell_angle_beta 90.00
_cell_angle_gamma 90.00
_space_group_name_H-M_alt 'P 1'
_space_group_IT_number 1
loop_
_space_group_symop_operation_xyz
'x,y,z'
loop_
_atom_site_label
_atom_site_fract_x
_atom_site_fract_y
_atom_site_fract_z
Li1 0.000 0.000 0.000
Li2 0.000 0.500 0.250
Li3 0.000 0.500 0.750
Li4 0.500 0.000 0.250
Li5 0.500 0.000 0.750
Li6 0.500 0.500 0.500
Nb1 0.000 0.000 0.500
Nb2 0.500 0.500 0.000
O1 0.000 0.000 0.275
O2 0.000 0.000 0.725
O3 0.000 0.500 0.000
O4 0.000 0.500 0.500
O5 0.500 0.000 0.000
O6 0.500 0.000 0.500
O7 0.500 0.500 0.225
O8 0.500 0.500 0.775
```

=====

Record 3
Computed powder XRD pattern of Li7NbO6 for Cu Kα, 1.54184 Å, from a DFT-relaxed cell (GGA-PBE, the Materials Project).
Intensities are scaled so that the largest is 100.

Top 6 peaks for 2θ from 15° to 90°, sorted by position:
two_theta  intensity
18.01  27.5
19.23  100.0
21.90  73.1
30.40  22.3
36.88  51.6
49.24  33.1

```
data_Li7NbO6
_cell_length_a 5.894
_cell_length_b 5.894
_cell_length_c 5.894
_cell_angle_alpha 56.84
_cell_angle_beta 56.84
_cell_angle_gamma 56.84
_space_group_name_H-M_alt 'P 1'
_space_group_IT_number 1
loop_
_space_group_symop_operation_xyz
'x,y,z'
loop_
_atom_site_label
_atom_site_fract_x
_atom_site_fract_y
_atom_site_fract_z
Li1 0.000 0.000 0.000
Li2 0.071 0.469 0.839
Li3 0.277 0.835 0.581
Li4 0.469 0.839 0.071
Li5 0.581 0.277 0.835
Li6 0.835 0.581 0.277
Li7 0.839 0.071 0.469
Nb1 0.346 0.346 0.346
O1 0.141 0.721 0.417
O2 0.230 0.576 0.985
O3 0.417 0.141 0.721
O4 0.576 0.985 0.230
O5 0.721 0.417 0.141
O6 0.985 0.230 0.576
```

=====

Please write out number 2 again, unchanged.
Computed powder XRD pattern of Li3NbO4 for Cu Kα, 1.54184 Å, from a DFT-relaxed cell (GGA-PBE, the Materials Project).
Intensities are scaled so that the largest is 100.

Top 6 peaks for 2θ from 15° to 90°, sorted by position:
two_theta  intensity
20.65  32.4
23.73  100.0
30.34  23.5
43.44  31.6
50.09  24.7
62.02  18.0

```
data_Li3NbO4
_cell_length_a 4.167
_cell_length_b 4.167
_cell_length_c 8.603
_cell_angle_alpha 90.00
_cell_angle_beta 90.00
_cell_angle_gamma 90.00
_space_group_name_H-M_alt 'P 1'
_space_group_IT_number 1
loop_
_space_group_symop_operation_xyz
'x,y,z'
loop_
_atom_site_label
_atom_site_fract_x
_atom_site_fract_y
_atom_site_fract_z
Li1 0.000 0.000 0.000
Li2 0.000 0.500 0.250
Li3 0.000 0.500 0.750
Li4 0.500 0.000 0.250
Li5 0.500 0.000 0.750
Li6 0.500 0.500 0.500
Nb1 0.000 0.000 0.500
Nb2 0.500 0.500 0.000
O1 0.000 0.000 0.275
O2 0.000 0.000 0.725
O3 0.000 0.500 0.000
O4 0.000 0.500 0.500
O5 0.500 0.000 0.000
O6 0.500 0.000 0.500
O7 0.500 0.500 0.225
O8 0.500 0.500 0.775
```